This entry pairs a crystal structure of Tm2InH2 with its computed X-ray powder pattern. Radiation: λ = 1.5418 Å (Cu Kα). Structure: DFT lattice parameters and positions (PBE).

Peak list (10 most intense, 5° ≤ 2θ ≤ 70°, by angle)
2θ/deg, Rel. int.
25.5, 6
32.6, 100
34.9, 44
43.4, 9
45.6, 4
50.1, 16
56.8, 17
57.4, 4
61.1, 33
68.4, 10

Structural model:
a b c (Å): 3.6404 3.6404 12.5202
angles (deg): 90.00 90.00 90.00
Space group I4/mmm (No. 139)
Symmetry-distinct sites (fractional):
Tm1 0.0000 0.0000 0.1520 [4 per cell]
In1 0.0000 0.0000 0.5000 [2 per cell]
H1 0.0000 0.5000 0.2500 [4 per cell]

This entry pairs a crystal structure of Tm3InH with its computed X-ray powder pattern. Radiation: λ = 1.5418 Å (Cu Kα). Structure: DFT lattice parameters and positions (PBE).

Peak list (10 most intense, 5° ≤ 2θ ≤ 70°, by angle)
2θ/deg, Rel. int.
30.5, 45
33.0, 59
33.3, 100
33.9, 70
35.6, 62
44.2, 17
52.1, 27
59.2, 19
62.0, 16
64.1, 16

Structural model:
a b c (Å): 8.3396 6.1991 8.8647
angles (deg): 90.00 101.74 90.00
Space group P2_1/c (No. 14)
Symmetry-distinct sites (fractional):
Tm1 0.0676 0.0760 0.1804 [4 per cell]
Tm2 0.2006 0.6017 0.0511 [4 per cell]
Tm3 0.3222 0.1070 0.9264 [4 per cell]
In1 0.4338 0.6083 0.8062 [4 per cell]
H1 0.0673 0.2386 0.4353 [4 per cell]

This entry pairs a crystal structure of Zr5In4H with its computed X-ray powder pattern. Radiation: λ = 1.5418 Å (Cu Kα). Structure: DFT lattice parameters and positions (PBE).

Peak list (10 most intense, 5° ≤ 2θ ≤ 70°, by angle)
2θ/deg, Rel. int.
21.8, 1
26.4, 1
28.7, 1
34.4, 100
40.0, 49
48.5, 1
51.9, 1
55.6, 1
57.8, 32
69.0, 36

Structural model:
a b c (Å): 9.5650 9.5650 4.5162
angles (deg): 90.00 90.00 90.00
Space group I4/mmm (No. 139)
Symmetry-distinct sites (fractional):
Zr1 0.0000 0.0000 0.0000 [2 per cell]
Zr2 0.1701 0.1701 0.5000 [8 per cell]
In1 0.0000 0.3201 0.0000 [8 per cell]
H1 0.0000 0.0000 0.5000 [2 per cell]

This entry pairs a crystal structure of Zr6In2H with its computed X-ray powder pattern. Radiation: λ = 1.5418 Å (Cu Kα). Structure: DFT lattice parameters and positions (PBE).

Peak list (8 most intense, 5° ≤ 2θ ≤ 70°, by angle)
2θ/deg, Rel. int.
19.8, 1
28.1, 1
34.6, 100
40.2, 33
40.3, 16
58.2, 32
69.5, 25
69.6, 12

Structural model:
a b c (Å): 6.3485 6.3485 8.9545
angles (deg): 90.00 90.00 90.00
Space group I4/mmm (No. 139)
Symmetry-distinct sites (fractional):
Zr1 0.0000 0.0000 0.2486 [4 per cell]
Zr2 0.2489 0.2489 0.0000 [8 per cell]
In1 0.0000 0.5000 0.2500 [4 per cell]
H1 0.0000 0.0000 0.5000 [2 per cell]

This entry pairs a crystal structure of Zr3InH with its computed X-ray powder pattern. Radiation: λ = 1.5418 Å (Cu Kα). Structure: DFT lattice parameters and positions (PBE).

Peak list (10 most intense, 5° ≤ 2θ ≤ 70°, by angle)
2θ/deg, Rel. int.
9.2, 2
34.4, 100
37.6, 18
40.0, 17
42.0, 15
56.1, 11
57.7, 10
59.4, 10
65.9, 12
69.1, 12

Structural model:
a b c (Å): 4.5036 4.3015 9.5610
angles (deg): 90.00 90.00 90.00
Space group Pmma (No. 51)
Symmetry-distinct sites (fractional):
Zr1 0.2500 0.0000 0.1192 [2 per cell]
Zr2 0.2500 0.0000 0.6482 [2 per cell]
Zr3 0.2500 0.5000 0.3742 [2 per cell]
In1 0.2500 0.5000 0.8735 [2 per cell]
H1 0.2500 0.0000 0.3383 [2 per cell]

This entry pairs a crystal structure of HIr with its computed X-ray powder pattern. Radiation: λ = 1.5418 Å (Cu Kα). Structure: DFT lattice parameters and positions (PBE).

Peak list (10 most intense, 5° ≤ 2θ ≤ 70°, by angle)
2θ/deg, Rel. int.
19.8, 64
23.8, 19
32.0, 22
38.4, 38
39.6, 34
40.3, 93
40.7, 100
46.3, 69
48.7, 24
69.5, 30

Structural model:
a b c (Å): 2.7520 7.4719 5.5964
angles (deg): 90.00 90.00 90.00
Space group Amm2 (No. 38)
Symmetry-distinct sites (fractional):
H1 0.0000 0.0000 0.0000 [2 per cell]
H2 0.5000 0.1667 0.9153 [4 per cell]
Ir1 0.0000 0.2232 0.1019 [4 per cell]
Ir2 0.5000 0.0000 0.4058 [2 per cell]

This entry pairs a crystal structure of HIr with its computed X-ray powder pattern. Radiation: λ = 1.5418 Å (Cu Kα). Structure: DFT lattice parameters and positions (PBE).

Peak list (10 most intense, 5° ≤ 2θ ≤ 70°, by angle)
2θ/deg, Rel. int.
15.8, 64
22.4, 18
35.8, 38
41.0, 10
41.9, 100
45.7, 19
47.2, 7
48.7, 18
53.6, 9
58.8, 11

Structural model:
a b c (Å): 7.9341 7.9341 2.7123
angles (deg): 90.00 90.00 90.00
Space group P4/m (No. 83)
Symmetry-distinct sites (fractional):
H1 0.0483 0.1763 0.0000 [4 per cell]
H2 0.3575 0.5775 0.5000 [4 per cell]
Ir1 0.1236 0.3639 0.0000 [4 per cell]
Ir2 0.1761 0.6578 0.5000 [4 per cell]

This entry pairs a crystal structure of HIr with its computed X-ray powder pattern. Radiation: λ = 1.5418 Å (Cu Kα). Structure: DFT lattice parameters and positions (PBE).

Peak list (10 most intense, 5° ≤ 2θ ≤ 70°, by angle)
2θ/deg, Rel. int.
16.6, 33
23.5, 13
33.5, 5
35.0, 9
37.6, 68
42.6, 100
49.2, 4
54.2, 25
55.2, 6
68.8, 6

Structural model:
a b c (Å): 7.5689 7.5689 2.7290
angles (deg): 90.00 90.00 90.00
Space group I4/m (No. 87)
Symmetry-distinct sites (fractional):
H1 0.0749 0.8471 0.0000 [8 per cell]
Ir1 0.1014 0.3035 0.0000 [8 per cell]

This entry pairs a crystal structure of K3H7Ir with its computed X-ray powder pattern. Radiation: λ = 1.5418 Å (Cu Kα). Structure: DFT lattice parameters and positions (PBE).

Peak list (10 most intense, 5° ≤ 2θ ≤ 70°, by angle)
2θ/deg, Rel. int.
15.3, 44
16.0, 78
21.8, 37
22.6, 34
26.6, 100
27.8, 46
28.9, 40
30.9, 33
32.3, 59
44.5, 24

Structural model:
a b c (Å): 7.4984 8.2254 5.7981
angles (deg): 90.00 92.47 90.00
Space group Cm (No. 8)
Symmetry-distinct sites (fractional):
K1 0.0000 0.0000 0.0000 [2 per cell]
K2 0.2540 0.2483 0.4955 [4 per cell]
H1 0.1117 0.5000 0.7267 [2 per cell]
H2 0.1453 0.3807 0.0883 [4 per cell]
H3 0.3087 0.0000 0.7989 [2 per cell]
H4 0.3730 0.0000 0.2064 [2 per cell]
H5 0.4284 0.1889 0.9227 [4 per cell]
Ir1 0.4923 0.0000 0.9659 [2 per cell]

This entry pairs a crystal structure of K2MgH6Ir with its computed X-ray powder pattern. Radiation: λ = 1.5418 Å (Cu Kα). Structure: DFT lattice parameters and positions (PBE).

Peak list (10 most intense, 5° ≤ 2θ ≤ 70°, by angle)
2θ/deg, Rel. int.
17.3, 100
24.6, 51
30.2, 51
35.0, 45
39.4, 50
46.9, 20
50.4, 32
53.6, 10
59.9, 20
65.7, 13

Structural model:
a b c (Å): 5.9182 5.9182 5.1144
angles (deg): 90.00 90.00 120.00
Space group P-3m1 (No. 164)
Symmetry-distinct sites (fractional):
K1 0.3333 0.6667 0.1844 [2 per cell]
Mg1 0.0000 0.0000 0.5000 [1 per cell]
H1 0.1369 0.2738 0.8056 [6 per cell]
Ir1 0.0000 0.0000 0.0000 [1 per cell]

This entry pairs a crystal structure of KNa2H6Ir with its computed X-ray powder pattern. Radiation: λ = 1.5418 Å (Cu Kα). Structure: DFT lattice parameters and positions (PBE).

Peak list (10 most intense, 5° ≤ 2θ ≤ 70°, by angle)
2θ/deg, Rel. int.
13.5, 67
19.5, 100
23.8, 46
27.1, 22
33.6, 56
34.1, 43
36.8, 33
44.1, 36
48.6, 20
60.7, 20

Structural model:
a b c (Å): 5.2621 5.2621 6.5796
angles (deg): 90.00 90.00 120.00
Space group P-3m1 (No. 164)
Symmetry-distinct sites (fractional):
K1 0.0000 0.0000 0.0000 [1 per cell]
Na1 0.3333 0.6667 0.4206 [2 per cell]
H1 0.1484 0.2967 0.6541 [6 per cell]
Ir1 0.0000 0.0000 0.5000 [1 per cell]

This entry pairs a crystal structure of K2NaH6Ir with its computed X-ray powder pattern. Radiation: λ = 1.5418 Å (Cu Kα). Structure: DFT lattice parameters and positions (PBE).

Peak list (10 most intense, 5° ≤ 2θ ≤ 70°, by angle)
2θ/deg, Rel. int.
19.1, 72
22.1, 24
31.5, 100
37.1, 40
45.1, 19
49.4, 18
50.8, 12
56.1, 37
59.8, 14
69.2, 14

Structural model:
a b c (Å): 8.0343 8.0343 8.0343
angles (deg): 90.00 90.00 90.00
Space group Fm-3m (No. 225)
Symmetry-distinct sites (fractional):
K1 0.2500 0.2500 0.2500 [8 per cell]
Na1 0.0000 0.0000 0.0000 [4 per cell]
H1 0.0000 0.0000 0.2890 [24 per cell]
Ir1 0.0000 0.0000 0.5000 [4 per cell]

This entry pairs a crystal structure of KH6IrPb with its computed X-ray powder pattern. Radiation: λ = 1.5418 Å (Cu Kα). Structure: DFT lattice parameters and positions (PBE).

Peak list (10 most intense, 5° ≤ 2θ ≤ 70°, by angle)
2θ/deg, Rel. int.
17.1, 58
20.1, 32
26.5, 100
35.1, 62
39.3, 45
40.4, 42
44.5, 26
57.3, 20
58.0, 23
66.6, 20

Structural model:
a b c (Å): 8.8485 5.1095 5.1752
angles (deg): 90.00 90.06 90.00
Space group Cm (No. 8)
Symmetry-distinct sites (fractional):
K1 0.0000 0.0000 0.0000 [2 per cell]
H1 0.0187 0.5000 0.1586 [2 per cell]
H2 0.0879 0.2612 0.5410 [4 per cell]
H3 0.2405 0.2783 0.1568 [4 per cell]
H4 0.3270 0.5000 0.5387 [2 per cell]
Ir1 0.1672 0.5000 0.3637 [2 per cell]
Pb1 0.3337 0.0000 0.5314 [2 per cell]